[1]
Theoretical XRD peak list
Compound: Cs2KInCl6
Radiation: λ = 1.5418 Å (Cu Kα)
Structure: the PBE geometry in the Materials Project
No peak broadening, texture or thermal motion is included.

Peak list (10 most intense, 2θ = 10–90°, in order of rising 2θ)
2θ = 13.7°, I = 19; 2θ = 22.5°, I = 100; 2θ = 27.7°, I = 33; 2θ = 32.1°, I = 65; 2θ = 39.6°, I = 44; 2θ = 46.0°, I = 43; 2θ = 51.8°, I = 23; 2θ = 62.3°, I = 25; 2θ = 76.4°, I = 17; 2θ = 89.6°, I = 14

Crystal structure
```
data_Cs2KInCl6
_symmetry_space_group_name_H-M 'P 1'
_symmetry_Int_Tables_number 1
_cell_length_a 7.8887
_cell_length_b 7.8887
_cell_length_c 7.8887
_cell_angle_alpha 60.00
_cell_angle_beta 60.00
_cell_angle_gamma 60.00
loop_
_symmetry_equiv_pos_as_xyz
'x,y,z'
loop_
_atom_site_label
_atom_site_type_symbol
_atom_site_fract_x
_atom_site_fract_y
_atom_site_fract_z
Cs1 Cs 0.2500 0.2500 0.2500
Cs2 Cs 0.7500 0.7500 0.7500
K1 K 0.0000 0.0000 0.0000
In1 In 0.5000 0.5000 0.5000
Cl1 Cl 0.2714 0.2714 0.7286
Cl2 Cl 0.2714 0.7286 0.2714
Cl3 Cl 0.2714 0.7286 0.7286
Cl4 Cl 0.7286 0.2714 0.2714
Cl5 Cl 0.7286 0.2714 0.7286
Cl6 Cl 0.7286 0.7286 0.2714
```



[2]
Theoretical XRD peak list
Compound: CsMg6Al
Radiation: λ = 1.5418 Å (Cu Kα)
Structure: the PBE geometry in the Materials Project
No peak broadening, texture or thermal motion is included.

Peak list (10 most intense, 2θ = 10–90°, in order of rising 2θ)
2θ = 15.4°, I = 95; 2θ = 20.0°, I = 92; 2θ = 20.9°, I = 94; 2θ = 23.2°, I = 78; 2θ = 26.6°, I = 76; 2θ = 27.3°, I = 94; 2θ = 30.2°, I = 43; 2θ = 31.1°, I = 41; 2θ = 35.0°, I = 51; 2θ = 35.8°, I = 100

Crystal structure
```
data_CsMg6Al
_symmetry_space_group_name_H-M 'P 1'
_symmetry_Int_Tables_number 1
_cell_length_a 5.1211
_cell_length_b 6.0855
_cell_length_c 17.7794
_cell_angle_alpha 90.00
_cell_angle_beta 90.00
_cell_angle_gamma 90.00
loop_
_symmetry_equiv_pos_as_xyz
'x,y,z'
loop_
_atom_site_label
_atom_site_type_symbol
_atom_site_fract_x
_atom_site_fract_y
_atom_site_fract_z
Cs1 Cs 0.0000 0.0000 0.0000
Cs2 Cs 0.0000 0.5000 0.5000
Mg1 Mg 0.0000 0.2456 0.7211
Mg2 Mg 0.0000 0.2544 0.2211
Mg3 Mg 0.0000 0.7456 0.2211
Mg4 Mg 0.0000 0.7544 0.7211
Mg5 Mg 0.5000 0.0000 0.1811
Mg6 Mg 0.5000 0.0000 0.6683
Mg7 Mg 0.5000 0.2485 0.3360
Mg8 Mg 0.5000 0.2515 0.8360
Mg9 Mg 0.5000 0.5000 0.1683
Mg10 Mg 0.5000 0.5000 0.6811
Mg11 Mg 0.5000 0.7485 0.8360
Mg12 Mg 0.5000 0.7515 0.3360
Al1 Al 0.0000 0.0000 0.3555
Al2 Al 0.0000 0.5000 0.8555
```



[3]
Theoretical XRD peak list
Compound: BeGeP2
Radiation: λ = 1.5418 Å (Cu Kα)
Structure: the PBE geometry in the Materials Project
No peak broadening, texture or thermal motion is included.

Peak list (10 most intense, 2θ = 10–90°, in order of rising 2θ)
2θ = 19.0°, I = 50; 2θ = 29.6°, I = 100; 2θ = 30.9°, I = 25; 2θ = 39.5°, I = 27; 2θ = 46.9°, I = 19; 2θ = 49.4°, I = 64; 2θ = 58.6°, I = 25; 2θ = 58.7°, I = 13; 2θ = 80.1°, I = 10; 2θ = 80.7°, I = 8

Crystal structure
```
data_BeGeP2
_symmetry_space_group_name_H-M 'P 1'
_symmetry_Int_Tables_number 1
_cell_length_a 5.2265
_cell_length_b 5.2265
_cell_length_c 10.4263
_cell_angle_alpha 90.00
_cell_angle_beta 90.00
_cell_angle_gamma 90.00
loop_
_symmetry_equiv_pos_as_xyz
'x,y,z'
loop_
_atom_site_label
_atom_site_type_symbol
_atom_site_fract_x
_atom_site_fract_y
_atom_site_fract_z
Be1 Be 0.0000 0.0000 0.0000
Be2 Be 0.0000 0.5000 0.2500
Be3 Be 0.5000 0.0000 0.7500
Be4 Be 0.5000 0.5000 0.5000
Ge1 Ge 0.0000 0.0000 0.5000
Ge2 Ge 0.0000 0.5000 0.7500
Ge3 Ge 0.5000 0.0000 0.2500
Ge4 Ge 0.5000 0.5000 0.0000
P1 P 0.2219 0.7500 0.1250
P2 P 0.2500 0.2219 0.8750
P3 P 0.2500 0.2781 0.3750
P4 P 0.2781 0.7500 0.6250
P5 P 0.7219 0.2500 0.6250
P6 P 0.7500 0.7219 0.3750
P7 P 0.7500 0.7781 0.8750
P8 P 0.7781 0.2500 0.1250
```



[4]
Theoretical XRD peak list
Compound: SbClO
Radiation: λ = 1.5418 Å (Cu Kα)
Structure: the PBE geometry in the Materials Project
No peak broadening, texture or thermal motion is included.

Peak list (10 most intense, 2θ = 10–90°, in order of rising 2θ)
2θ = 12.2°, I = 61; 2θ = 13.6°, I = 35; 2θ = 18.2°, I = 44; 2θ = 23.9°, I = 34; 2θ = 25.0°, I = 100; 2θ = 25.5°, I = 25; 2θ = 27.5°, I = 37; 2θ = 30.2°, I = 54; 2θ = 34.9°, I = 31; 2θ = 45.7°, I = 27

Crystal structure
```
data_SbClO
_symmetry_space_group_name_H-M 'P 1'
_symmetry_Int_Tables_number 1
_cell_length_a 8.1310
_cell_length_b 11.4122
_cell_length_c 9.6817
_cell_angle_alpha 90.00
_cell_angle_beta 103.89
_cell_angle_gamma 90.00
loop_
_symmetry_equiv_pos_as_xyz
'x,y,z'
loop_
_atom_site_label
_atom_site_type_symbol
_atom_site_fract_x
_atom_site_fract_y
_atom_site_fract_z
Sb1 Sb 0.0281 0.1734 0.2402
Sb2 Sb 0.0281 0.3266 0.7402
Sb3 Sb 0.2168 0.5310 0.0740
Sb4 Sb 0.2168 0.9690 0.5740
Sb5 Sb 0.4084 0.7434 0.4070
Sb6 Sb 0.4084 0.7566 0.9070
Sb7 Sb 0.5916 0.2434 0.0930
Sb8 Sb 0.5916 0.2566 0.5930
Sb9 Sb 0.7832 0.0310 0.4260
Sb10 Sb 0.7832 0.4690 0.9260
Sb11 Sb 0.9719 0.6734 0.2598
Sb12 Sb 0.9719 0.8266 0.7598
Cl1 Cl 0.0934 0.1462 0.8741
Cl2 Cl 0.0934 0.3538 0.3741
Cl3 Cl 0.3842 0.6017 0.5882
Cl4 Cl 0.3842 0.8983 0.0882
Cl5 Cl 0.3948 0.1139 0.3532
Cl6 Cl 0.3948 0.3861 0.8532
Cl7 Cl 0.6052 0.6139 0.1468
Cl8 Cl 0.6052 0.8861 0.6468
Cl9 Cl 0.6158 0.1017 0.9118
Cl10 Cl 0.6158 0.3983 0.4118
Cl11 Cl 0.9066 0.6462 0.6259
Cl12 Cl 0.9066 0.8538 0.1259
O1 O 0.0304 0.0704 0.4122
O2 O 0.0304 0.4296 0.9122
O3 O 0.2134 0.6613 0.9369
O4 O 0.2134 0.8387 0.4369
O5 O 0.2231 0.6599 0.2561
O6 O 0.2231 0.8401 0.7561
O7 O 0.7769 0.1599 0.2439
O8 O 0.7769 0.3401 0.7439
O9 O 0.7866 0.1613 0.5631
O10 O 0.7866 0.3387 0.0631
O11 O 0.9696 0.5704 0.0878
O12 O 0.9696 0.9296 0.5878
```



[5]
Theoretical XRD peak list
Compound: TmH3O3
Radiation: λ = 1.5418 Å (Cu Kα)
Structure: the PBE geometry in the Materials Project
No peak broadening, texture or thermal motion is included.

Peak list (10 most intense, 2θ = 10–90°, in order of rising 2θ)
2θ = 16.2°, I = 100; 2θ = 28.3°, I = 75; 2θ = 30.6°, I = 95; 2θ = 32.8°, I = 17; 2θ = 42.2°, I = 66; 2θ = 50.2°, I = 25; 2θ = 51.6°, I = 63; 2θ = 61.2°, I = 25; 2θ = 67.6°, I = 21; 2θ = 81.8°, I = 18

Crystal structure
```
data_TmH3O3
_symmetry_space_group_name_H-M 'P 1'
_symmetry_Int_Tables_number 1
_cell_length_a 6.3009
_cell_length_b 6.3009
_cell_length_c 3.4531
_cell_angle_alpha 90.00
_cell_angle_beta 90.00
_cell_angle_gamma 120.00
loop_
_symmetry_equiv_pos_as_xyz
'x,y,z'
loop_
_atom_site_label
_atom_site_type_symbol
_atom_site_fract_x
_atom_site_fract_y
_atom_site_fract_z
Tm1 Tm 0.3333 0.6667 0.2500
Tm2 Tm 0.6667 0.3333 0.7500
H1 H 0.1370 0.8580 0.7500
H2 H 0.1420 0.2790 0.7500
H3 H 0.2790 0.1370 0.2500
H4 H 0.7210 0.8630 0.7500
H5 H 0.8580 0.7210 0.2500
H6 H 0.8630 0.1420 0.2500
O1 O 0.0865 0.3980 0.7500
O2 O 0.3114 0.9135 0.7500
O3 O 0.3980 0.3114 0.2500
O4 O 0.6020 0.6886 0.7500
O5 O 0.6886 0.0865 0.2500
O6 O 0.9135 0.6020 0.2500
```



[6]
Theoretical XRD peak list
Compound: Sm3Ni13B2
Radiation: λ = 1.5418 Å (Cu Kα)
Structure: the PBE geometry in the Materials Project
No peak broadening, texture or thermal motion is included.

Peak list (10 most intense, 2θ = 10–90°, in order of rising 2θ)
2θ = 32.0°, I = 72; 2θ = 35.9°, I = 32; 2θ = 41.7°, I = 60; 2θ = 43.8°, I = 100; 2θ = 49.9°, I = 15; 2θ = 62.1°, I = 22; 2θ = 63.0°, I = 14; 2θ = 67.0°, I = 16; 2θ = 70.0°, I = 23; 2θ = 76.1°, I = 20

Crystal structure
```
data_Sm3Ni13B2
_symmetry_space_group_name_H-M 'P 1'
_symmetry_Int_Tables_number 1
_cell_length_a 5.0056
_cell_length_b 5.0056
_cell_length_c 10.9679
_cell_angle_alpha 90.00
_cell_angle_beta 90.00
_cell_angle_gamma 120.00
loop_
_symmetry_equiv_pos_as_xyz
'x,y,z'
loop_
_atom_site_label
_atom_site_type_symbol
_atom_site_fract_x
_atom_site_fract_y
_atom_site_fract_z
Sm1 Sm 0.0000 0.0000 0.0000
Sm2 Sm 0.0000 0.0000 0.3308
Sm3 Sm 0.0000 0.0000 0.6692
Ni1 Ni 0.0000 0.5000 0.1335
Ni2 Ni 0.0000 0.5000 0.5000
Ni3 Ni 0.0000 0.5000 0.8665
Ni4 Ni 0.3333 0.6667 0.3192
Ni5 Ni 0.3333 0.6667 0.6808
Ni6 Ni 0.5000 0.0000 0.1335
Ni7 Ni 0.5000 0.0000 0.5000
Ni8 Ni 0.5000 0.0000 0.8665
Ni9 Ni 0.5000 0.5000 0.1335
Ni10 Ni 0.5000 0.5000 0.5000
Ni11 Ni 0.5000 0.5000 0.8665
Ni12 Ni 0.6667 0.3333 0.3192
Ni13 Ni 0.6667 0.3333 0.6808
B1 B 0.3333 0.6667 0.0000
B2 B 0.6667 0.3333 0.0000
```



[7]
Theoretical XRD peak list
Compound: NaGe4P3O12
Radiation: λ = 1.5418 Å (Cu Kα)
Structure: the PBE geometry in the Materials Project
No peak broadening, texture or thermal motion is included.

Peak list (10 most intense, 2θ = 10–90°, in order of rising 2θ)
2θ = 22.1°, I = 34; 2θ = 22.5°, I = 100; 2θ = 28.5°, I = 21; 2θ = 28.9°, I = 17; 2θ = 36.7°, I = 13; 2θ = 37.3°, I = 18; 2θ = 38.4°, I = 15; 2θ = 38.7°, I = 14; 2θ = 39.3°, I = 13; 2θ = 51.3°, I = 17

Crystal structure
```
data_NaGe4P3O12
_symmetry_space_group_name_H-M 'P 1'
_symmetry_Int_Tables_number 1
_cell_length_a 9.7845
_cell_length_b 9.7845
_cell_length_c 9.7845
_cell_angle_alpha 59.13
_cell_angle_beta 59.13
_cell_angle_gamma 59.13
loop_
_symmetry_equiv_pos_as_xyz
'x,y,z'
loop_
_atom_site_label
_atom_site_type_symbol
_atom_site_fract_x
_atom_site_fract_y
_atom_site_fract_z
Na1 Na 0.0000 0.0000 0.0000
Na2 Na 0.5000 0.5000 0.5000
Ge1 Ge 0.0563 0.5851 0.6986
Ge2 Ge 0.0851 0.5563 0.1986
Ge3 Ge 0.1407 0.1407 0.1407
Ge4 Ge 0.1986 0.0851 0.5563
Ge5 Ge 0.5563 0.1986 0.0851
Ge6 Ge 0.5851 0.6986 0.0563
Ge7 Ge 0.6407 0.6407 0.6407
Ge8 Ge 0.6986 0.0563 0.5851
P1 P 0.1962 0.7426 0.2836
P2 P 0.2426 0.6962 0.7836
P3 P 0.2836 0.1962 0.7426
P4 P 0.6962 0.7836 0.2426
P5 P 0.7426 0.2836 0.1962
P6 P 0.7836 0.2426 0.6962
O1 O 0.0869 0.9323 0.2601
O2 O 0.1116 0.6313 0.4609
O3 O 0.1313 0.6116 0.9609
O4 O 0.1472 0.2031 0.6985
O5 O 0.1985 0.7031 0.6472
O6 O 0.2031 0.6985 0.1472
O7 O 0.2073 0.8789 0.7623
O8 O 0.2601 0.0869 0.9323
O9 O 0.2623 0.3789 0.7073
O10 O 0.3789 0.7073 0.2623
O11 O 0.4323 0.5869 0.7601
O12 O 0.4609 0.1116 0.6313
O13 O 0.5869 0.7601 0.4323
O14 O 0.6116 0.9609 0.1313
O15 O 0.6313 0.4609 0.1116
O16 O 0.6472 0.1985 0.7031
O17 O 0.6985 0.1472 0.2031
O18 O 0.7031 0.6472 0.1985
O19 O 0.7073 0.2623 0.3789
O20 O 0.7601 0.4323 0.5869
O21 O 0.7623 0.2073 0.8789
O22 O 0.8789 0.7623 0.2073
O23 O 0.9323 0.2601 0.0869
O24 O 0.9609 0.1313 0.6116
```



[8]
Theoretical XRD peak list
Compound: Cs3TmO3
Radiation: λ = 1.5418 Å (Cu Kα)
Structure: the PBE geometry in the Materials Project
No peak broadening, texture or thermal motion is included.

Peak list (10 most intense, 2θ = 10–90°, in order of rising 2θ)
2θ = 16.2°, I = 29; 2θ = 25.2°, I = 49; 2θ = 25.4°, I = 38; 2θ = 26.7°, I = 83; 2θ = 27.6°, I = 100; 2θ = 27.7°, I = 70; 2θ = 31.1°, I = 30; 2θ = 34.9°, I = 30; 2θ = 35.4°, I = 28; 2θ = 50.9°, I = 29

Crystal structure
```
data_Cs3TmO3
_symmetry_space_group_name_H-M 'P 1'
_symmetry_Int_Tables_number 1
_cell_length_a 7.5791
_cell_length_b 7.5791
_cell_length_c 7.6307
_cell_angle_alpha 96.00
_cell_angle_beta 96.00
_cell_angle_gamma 116.61
loop_
_symmetry_equiv_pos_as_xyz
'x,y,z'
loop_
_atom_site_label
_atom_site_type_symbol
_atom_site_fract_x
_atom_site_fract_y
_atom_site_fract_z
Cs1 Cs 0.2105 0.7895 0.0000
Cs2 Cs 0.2622 0.7378 0.5000
Cs3 Cs 0.3592 0.3592 0.1508
Cs4 Cs 0.6408 0.6408 0.8492
Cs5 Cs 0.7378 0.2622 0.5000
Cs6 Cs 0.7895 0.2105 0.0000
Tm1 Tm 0.1702 0.1702 0.6490
Tm2 Tm 0.8298 0.8298 0.3510
O1 O 0.1002 0.1002 0.3591
O2 O 0.1643 0.4312 0.7638
O3 O 0.4312 0.1643 0.7638
O4 O 0.5688 0.8357 0.2362
O5 O 0.8357 0.5688 0.2362
O6 O 0.8998 0.8998 0.6409
```